Starting from a cell relaxed with GGA-PBE, the powder X-ray diffraction pattern of LiMgN was computed for Cu Kα (weighted mean of Kα1 and Kα2).

a = 7.207 Å, b = 3.516 Å, c = 5.036 Å
α = 90.00°, β = 90.00°, γ = 90.00°
Space group Pnma (No. 62)
Symmetry-distinct sites (fractional):
Li 0.097 0.250 0.029
Mg 0.144 0.250 0.521
N 0.120 0.750 0.270

Largest 10 diffraction maxima, by intensity, 2θ from 10° to 90°:
| index | two_theta | d (Å) | I/Imax |
| --- | --- | --- | --- |
| 2 1 2 | 51.33 | 1.780 | 100 |
| 1 0 1 | 21.53 | 4.128 | 59 |
| 1 1 1 | 33.48 | 2.677 | 57 |
| 0 0 2 | 35.67 | 2.517 | 38 |
| 0 1 1 | 31.02 | 2.883 | 37 |
| 3 0 1 | 41.66 | 2.168 | 31 |
| 0 2 0 | 52.02 | 1.758 | 27 |
| 4 0 0 | 50.67 | 1.802 | 24 |
| 2 0 1 | 30.51 | 2.930 | 19 |
| 4 2 0 | 75.56 | 1.258 | 18 |